For Tl2CdGeTe4, a GGA-PBE-relaxed structure gives the simulated powder XRD pattern in this record (Cu Ka).

a = 7.073 Å, b = 7.073 Å, c = 7.073 Å
α = 104.95°, β = 104.95°, γ = 118.94°
Fractional coordinates of all 8 atoms:
Tl 0.000 0.500 0.500
Tl 0.500 0.000 0.500
Cd 0.000 0.000 0.000
Ge 0.500 0.500 0.000
Te 0.103 0.449 0.000
Te 0.449 0.103 0.000
Te 0.551 0.551 0.654
Te 0.897 0.897 0.346

Peak list (12 most intense, 2θ from 10° to 90°, in order of rising 2θ)
2θ = 20.62°, intensity 19
2θ = 26.24°, intensity 62
2θ = 28.85°, intensity 20
2θ = 29.32°, intensity 50
2θ = 32.45°, intensity 100
2θ = 32.87°, intensity 25
2θ = 38.75°, intensity 17
2θ = 45.18°, intensity 18
2θ = 47.17°, intensity 23
2θ = 49.32°, intensity 24
2θ = 54.00°, intensity 17
2θ = 74.48°, intensity 18

---

For RbSr2I5, a GGA-PBE-relaxed structure gives the simulated powder XRD pattern in this record (Cu Ka).

a = 10.170 Å, b = 9.194 Å, c = 14.716 Å
α = 90.00°, β = 90.25°, γ = 90.00°
Fractional coordinates of all 32 atoms:
Rb 0.003 0.037 0.327
Rb 0.003 0.463 0.827
Rb 0.997 0.537 0.173
Rb 0.997 0.963 0.673
Sr 0.254 0.570 0.495
Sr 0.254 0.930 0.995
Sr 0.497 0.522 0.179
Sr 0.497 0.978 0.679
Sr 0.503 0.022 0.321
Sr 0.503 0.478 0.821
Sr 0.746 0.070 0.005
Sr 0.746 0.430 0.505
I 0.034 0.167 0.087
I 0.034 0.333 0.587
I 0.275 0.693 0.713
I 0.275 0.807 0.213
I 0.285 0.167 0.819
I 0.285 0.333 0.319
I 0.288 0.546 0.995
I 0.288 0.954 0.495
I 0.459 0.160 0.103
I 0.459 0.340 0.603
I 0.541 0.660 0.397
I 0.541 0.840 0.897
I 0.712 0.046 0.505
I 0.712 0.454 0.005
I 0.715 0.667 0.681
I 0.715 0.833 0.181
I 0.725 0.193 0.787
I 0.725 0.307 0.287
I 0.966 0.667 0.413
I 0.966 0.833 0.913

Peak list (12 most intense, 2θ from 10° to 90°, in order of rising 2θ)
2θ = 23.37°, intensity 78
2θ = 26.09°, intensity 61
2θ = 26.58°, intensity 33
2θ = 26.83°, intensity 83
2θ = 27.11°, intensity 25
2θ = 27.55°, intensity 27
2θ = 28.86°, intensity 100
2θ = 29.78°, intensity 48
2θ = 29.92°, intensity 29
2θ = 30.04°, intensity 29
2θ = 32.87°, intensity 24
2θ = 35.30°, intensity 40

---

For SiGe, a GGA-PBE-relaxed structure gives the simulated powder XRD pattern in this record (Cu Ka).

a = 3.941 Å, b = 3.941 Å, c = 6.509 Å
α = 90.00°, β = 90.00°, γ = 120.00°
Fractional coordinates of all 4 atoms:
Si 0.333 0.667 0.000
Si 0.667 0.333 0.500
Ge 0.333 0.667 0.626
Ge 0.667 0.333 0.126

Peak list (12 most intense, 2θ from 10° to 90°, in order of rising 2θ)
2θ = 26.11°, intensity 73
2θ = 27.41°, intensity 51
2θ = 29.56°, intensity 100
2θ = 38.21°, intensity 31
2θ = 46.07°, intensity 60
2θ = 49.80°, intensity 64
2θ = 54.44°, intensity 44
2θ = 55.69°, intensity 17
2θ = 70.17°, intensity 22
2θ = 75.08°, intensity 13
2θ = 78.67°, intensity 16
2θ = 88.11°, intensity 25

---

For HfNiSb, a GGA-PBE-relaxed structure gives the simulated powder XRD pattern in this record (Cu Ka).

a = 6.627 Å, b = 4.205 Å, c = 7.640 Å
α = 90.00°, β = 90.00°, γ = 90.00°
Fractional coordinates of all 12 atoms:
Hf 0.001 0.250 0.201
Hf 0.499 0.750 0.701
Hf 0.501 0.250 0.299
Hf 0.999 0.750 0.799
Ni 0.183 0.250 0.589
Ni 0.317 0.750 0.089
Ni 0.683 0.250 0.911
Ni 0.817 0.750 0.411
Sb 0.213 0.750 0.411
Sb 0.287 0.250 0.911
Sb 0.713 0.750 0.089
Sb 0.787 0.250 0.589

Peak list (12 most intense, 2θ from 10° to 90°, in order of rising 2θ)
2θ = 34.49°, intensity 43
2θ = 35.88°, intensity 37
2θ = 36.47°, intensity 100
2θ = 37.85°, intensity 13
2θ = 41.45°, intensity 48
2θ = 42.61°, intensity 15
2θ = 43.02°, intensity 33
2θ = 55.50°, intensity 13
2θ = 57.23°, intensity 19
2θ = 68.70°, intensity 19
2θ = 72.69°, intensity 11
2θ = 74.56°, intensity 13

---

For Bi3O5, a GGA-PBE-relaxed structure gives the simulated powder XRD pattern in this record (Cu Ka).

a = 6.730 Å, b = 6.730 Å, c = 8.309 Å
α = 108.78°, β = 108.78°, γ = 50.37°
Fractional coordinates of all 16 atoms:
Bi 0.000 0.000 0.000
Bi 0.000 0.000 0.500
Bi 0.311 0.319 0.658
Bi 0.319 0.311 0.158
Bi 0.681 0.689 0.842
Bi 0.689 0.681 0.342
O 0.079 0.606 0.451
O 0.089 0.586 0.889
O 0.109 0.891 0.250
O 0.394 0.921 0.049
O 0.414 0.911 0.611
O 0.586 0.089 0.389
O 0.606 0.079 0.951
O 0.891 0.109 0.750
O 0.911 0.414 0.111
O 0.921 0.394 0.549

Peak list (12 most intense, 2θ from 10° to 90°, in order of rising 2θ)
2θ = 26.51°, intensity 100
2θ = 28.21°, intensity 86
2θ = 31.23°, intensity 28
2θ = 31.69°, intensity 23
2θ = 32.20°, intensity 22
2θ = 43.58°, intensity 17
2θ = 45.09°, intensity 29
2θ = 45.47°, intensity 28
2θ = 52.38°, intensity 16
2θ = 52.77°, intensity 16
2θ = 53.07°, intensity 16
2θ = 53.75°, intensity 14